The following is a theoretical powder diffraction line list of Na4Ni9O18. It was derived from the PBE+U geometry in Alexandria, using copper Kα.

Top 10 peaks for 10 to 90 degrees two-theta, low angle first:
2θ (°)	intensity
15.8	100
31.8	11
36.8	7
37.0	12
38.4	8
42.5	30
42.7	16
53.1	11
58.0	8
65.5	7

Structural model:
```
data_Na4Ni9O18
_chemical_formula_sum 'Na4 Ni9 O18'
_cell_length_a 7.0560
_cell_length_b 7.1537
_cell_length_c 7.5076
_cell_angle_alpha 91.07
_cell_angle_beta 103.12
_cell_angle_gamma 106.00
_space_group_name_H-M_alt 'P 1'
_space_group_IT_number 1
_space_group_name_Hall 'P 1'
loop_
_atom_site_label
_atom_site_type_symbol
_atom_site_fract_x
_atom_site_fract_y
_atom_site_fract_z
Na1 Na 0.0000 0.0000 0.0000
Na2 Na 0.0738 0.0699 0.5912
Na3 Na 0.4659 0.4596 0.6716
Na4 Na 0.5676 0.5607 0.2643
Ni1 Ni 0.0019 0.4941 0.4631
Ni2 Ni 0.1209 0.6086 0.1296
Ni3 Ni 0.2206 0.7199 0.7934
Ni4 Ni 0.3389 0.8273 0.4653
Ni5 Ni 0.4425 0.9485 0.1330
Ni6 Ni 0.5512 0.0547 0.7996
Ni7 Ni 0.6633 0.1626 0.4700
Ni8 Ni 0.7799 0.2790 0.1322
Ni9 Ni 0.8919 0.3903 0.7996
O1 O 0.0387 0.3494 0.0287
O2 O 0.0990 0.7609 0.5530
O3 O 0.1273 0.4488 0.7029
O4 O 0.2064 0.8714 0.2293
O5 O 0.2673 0.5698 0.3627
O6 O 0.2881 0.9826 0.8687
O7 O 0.3521 0.6820 0.0322
O8 O 0.4248 0.0944 0.5610
O9 O 0.4516 0.7709 0.7006
O10 O 0.5243 0.2070 0.2412
O11 O 0.5832 0.8951 0.3931
O12 O 0.6653 0.3402 0.8966
O13 O 0.6772 0.0154 0.0360
O14 O 0.7412 0.4251 0.5637
O15 O 0.8078 0.1282 0.7106
O16 O 0.8866 0.5448 0.2236
O17 O 0.8959 0.2237 0.3757
O18 O 0.9872 0.6573 0.8926
```